# Li2CeSmMo4O16
Simulated PXRD pattern, Cu Kα. Input: a PBE+U-relaxed structure.
Peak positions follow from Bragg's law for the DFT cell and can differ from measured ones.

Principal peaks in the range 2θ from 10° to 80°, in order of rising 2θ:
two_theta, I/Imax, h k l
15.5, 18, 0 0 2
18.5, 29, 1 0 1
23.9, 12, 1 1 0
28.6, 100, 1 1 2
34.0, 17, 2 0 0
46.8, 32, 2 0 4
48.9, 14, 2 2 0
53.9, 16, 1 1 6
57.6, 26, 3 1 2
75.7, 12, 1 3 6

```
data_Li2CeSmMo4O16
_chemical_formula_sum 'Li2 Ce1 Sm1 Mo4 O16'
_cell_length_a 5.270
_cell_length_b 5.270
_cell_length_c 11.466
_cell_angle_alpha 90.00
_cell_angle_beta 90.00
_cell_angle_gamma 90.00
_symmetry_space_group_name_H-M 'P -4'
_symmetry_Int_Tables_number 81
_symmetry_space_group_name_Hall 'P -4'
loop_
_atom_site_label
_atom_site_type_symbol
_atom_site_fract_x
_atom_site_fract_y
_atom_site_fract_z
Li1 Li 0.000 0.500 0.220
Ce1 Ce 0.000 0.000 0.000
Sm1 Sm 0.500 0.500 0.500
Mo1 Mo 0.000 0.000 0.500
Mo2 Mo 0.000 0.500 0.748
Mo3 Mo 0.500 0.500 0.000
O1 O 0.154 0.260 0.838
O2 O 0.163 0.759 0.417
O3 O 0.243 0.652 0.663
O4 O 0.244 0.345 0.082
```